Starting from a GGA-PBE-relaxed structure, the powder XRD pattern of EuGe2Pt2 was simulated for Cu Kα (λ = 1.5418 Å).
Intensities are scaled so that the largest is 1000.

Structural model:
Unit cell a=10.3010 b=4.7231 c=9.3737 alpha=90.00 beta=91.26 gamma=90.00
Atoms (fractional coordinates):
Eu  0.2451  0.2415  0.1298
Eu  0.2451  0.2585  0.6298
Eu  0.7549  0.7415  0.3702
Eu  0.7549  0.7585  0.8702
Ge  0.0006  0.2355  0.3740
Ge  0.0006  0.2645  0.8740
Ge  0.3822  0.6886  0.3915
Ge  0.3822  0.8114  0.8915
Ge  0.6178  0.1886  0.1085
Ge  0.6178  0.3114  0.6085
Ge  0.9994  0.7355  0.1260
Ge  0.9994  0.7645  0.6260
Pt  0.1248  0.7369  0.3789
Pt  0.1248  0.7631  0.8789
Pt  0.4999  0.1763  0.3592
Pt  0.4999  0.3237  0.8592
Pt  0.5001  0.6763  0.1408
Pt  0.5001  0.8237  0.6408
Pt  0.8752  0.2369  0.1211
Pt  0.8752  0.2631  0.6211

Most intense lines, 5° ≤ 2θ ≤ 70°, in order of rising 2θ:
| index | 2θ/deg | I_rel |
| --- | --- | --- |
| 1 1 -2 | 28.06 | 230 |
| 2 1 -2 | 31.80 | 606 |
| 2 1 2 | 32.25 | 1000 |
| 3 0 2 | 32.67 | 275 |
| 0 2 0 | 38.11 | 412 |
| 0 0 4 | 38.42 | 542 |
| 4 1 -2 | 44.15 | 204 |
| 4 1 2 | 44.85 | 184 |
| 3 1 -4 | 50.54 | 268 |
| 0 2 4 | 55.23 | 276 |